For Np2Sn2Se5, a DFT-relaxed cell (PBE, OQMD) gives the simulated powder XRD pattern in this record (Cu Kα, 1.54184 Å).

Largest 10 diffraction maxima, by angle, 2θ from 5° to 70°:
Position (°2θ)	I_rel	index
10.5	191	0 0 2
15.7	176	0 0 3
24.4	93	1 0 0
29.1	1000	0 1 3
36.2	117	0 1 5
40.4	362	1 0 6
42.9	392	1 1 0
49.9	98	1 0 8
52.7	196	2 0 3
60.4	113	0 2 6

Crystal structure
```
Np2Sn2Se5
1.0
4.2208 0.0000 0.0000
-2.1104 3.6554 0.0000
0.0000 0.0000 16.8927
Np Sn Se
2 2 5
direct
0.0000 0.0000 0.1802
0.0000 0.0000 0.8198
0.3333 0.6667 0.6066
0.6667 0.3333 0.3934
0.0000 0.0000 0.5000
0.3333 0.6667 0.2826
0.3333 0.6667 0.9028
0.6667 0.3333 0.0972
0.6667 0.3333 0.7174
```